Record 1
Structure and computed X-ray diffraction stick pattern of K6Rb3Tl2 (a structure optimized by DFT (GGA-PBE); a wavelength of 1.5418 Å).

Most intense lines, 10 to 90 degrees two-theta, by angle:
- 2θ 13.35, intensity 88
- 2θ 15.46, intensity 47
- 2θ 18.52, intensity 91
- 2θ 21.57, intensity 43
- 2θ 24.89, intensity 38
- 2θ 26.30, intensity 100
- 2θ 28.17, intensity 53
- 2θ 29.61, intensity 27
- 2θ 33.30, intensity 40
- 2θ 37.54, intensity 38
- 2θ 38.92, intensity 44
- 2θ 42.92, intensity 41

Structure:
a = 16.8230 Å, b = 16.8230 Å, c = 16.8230 Å
α = 156.76°, β = 156.76°, γ = 33.10°
Element x y z (fractional)
K: 0.0832 0.5831 0.5000
K: 0.1660 0.1660 0.0000
K: 0.4168 0.9168 0.5000
K: 0.5831 0.0832 0.5000
K: 0.8340 0.8340 0.0000
K: 0.9168 0.4168 0.5000
Rb: 0.3045 0.3045 0.0000
Rb: 0.5000 0.5000 0.0000
Rb: 0.6955 0.6955 0.0000
Tl: 0.0451 0.0451 0.0000
Tl: 0.9549 0.9549 0.0000

***

Record 2
Structure and computed X-ray diffraction stick pattern of K6Rb23Tl (a structure optimized by DFT (GGA-PBE); a wavelength of 1.5418 Å).

Most intense lines, 10 to 90 degrees two-theta, by angle:
- 2θ 13.98, intensity 24
- 2θ 21.03, intensity 37
- 2θ 22.92, intensity 100
- 2θ 26.95, intensity 33
- 2θ 32.64, intensity 14
- 2θ 35.42, intensity 13
- 2θ 39.15, intensity 11
- 2θ 40.26, intensity 23
- 2θ 40.91, intensity 13
- 2θ 42.82, intensity 14
- 2θ 49.12, intensity 17
- 2θ 63.43, intensity 14

Structure:
a = 15.5193 Å, b = 15.5193 Å, c = 15.5193 Å
α = 60.00°, β = 60.00°, γ = 60.00°
Element x y z (fractional)
K: 0.1706 0.1706 0.8294
K: 0.1706 0.8294 0.1706
K: 0.1706 0.8294 0.8294
K: 0.8294 0.1706 0.1706
K: 0.8294 0.1706 0.8294
K: 0.8294 0.8294 0.1706
Rb: 0.0000 0.0000 0.5000
Rb: 0.0000 0.5000 0.0000
Rb: 0.0000 0.5000 0.5000
Rb: 0.1424 0.6192 0.6192
Rb: 0.1580 0.1580 0.1580
Rb: 0.1580 0.1580 0.5260
Rb: 0.1580 0.5260 0.1580
Rb: 0.3808 0.3808 0.3808
Rb: 0.3808 0.3808 0.8576
Rb: 0.3808 0.8576 0.3808
Rb: 0.4740 0.8420 0.8420
Rb: 0.5000 0.0000 0.0000
Rb: 0.5000 0.0000 0.5000
Rb: 0.5000 0.5000 0.0000
Rb: 0.5000 0.5000 0.5000
Rb: 0.5260 0.1580 0.1580
Rb: 0.6192 0.1424 0.6192
Rb: 0.6192 0.6192 0.1424
Rb: 0.6192 0.6192 0.6192
Rb: 0.8420 0.4740 0.8420
Rb: 0.8420 0.8420 0.4740
Rb: 0.8420 0.8420 0.8420
Rb: 0.8576 0.3808 0.3808
Tl: 0.0000 0.0000 0.0000

***

Record 3
Structure and computed X-ray diffraction stick pattern of K7Rb3Tl (a structure optimized by DFT (GGA-PBE); a wavelength of 1.5418 Å).

Most intense lines, 10 to 90 degrees two-theta, by angle:
- 2θ 12.80, intensity 62
- 2θ 14.33, intensity 66
- 2θ 19.73, intensity 44
- 2θ 20.83, intensity 39
- 2θ 22.61, intensity 39
- 2θ 23.84, intensity 67
- 2θ 24.51, intensity 36
- 2θ 24.71, intensity 43
- 2θ 25.56, intensity 100
- 2θ 25.69, intensity 53
- 2θ 25.80, intensity 46
- 2θ 27.05, intensity 36

Structure:
a = 8.5843 Å, b = 8.5843 Å, c = 11.9724 Å
α = 95.50°, β = 95.50°, γ = 115.58°
Element x y z (fractional)
K: 0.0000 0.0000 0.0000
K: 0.2257 0.6911 0.6749
K: 0.5161 0.9840 0.9876
K: 0.5195 0.5195 0.1221
K: 0.6820 0.6820 0.5243
K: 0.6911 0.2257 0.6749
K: 0.9840 0.5161 0.9876
Rb: 0.2020 0.2020 0.7082
Rb: 0.2840 0.9393 0.3352
Rb: 0.9393 0.2840 0.3352
Tl: 0.6235 0.6235 0.8273

***

Record 4
Structure and computed X-ray diffraction stick pattern of KRb12Tl6 (a structure optimized by DFT (GGA-PBE); a wavelength of 1.5418 Å).

Most intense lines, 10 to 90 degrees two-theta, by angle:
- 2θ 13.58, intensity 36
- 2θ 17.33, intensity 26
- 2θ 23.07, intensity 57
- 2θ 25.13, intensity 26
- 2θ 25.46, intensity 21
- 2θ 26.05, intensity 100
- 2θ 27.65, intensity 26
- 2θ 29.43, intensity 36
- 2θ 32.29, intensity 42
- 2θ 38.13, intensity 18
- 2θ 40.01, intensity 16
- 2θ 45.64, intensity 27

Structure:
a = 10.7709 Å, b = 10.7709 Å, c = 10.7709 Å
α = 101.11°, β = 101.11°, γ = 101.11°
Element x y z (fractional)
K: 0.0000 0.0000 0.0000
Rb: 0.0075 0.7464 0.3065
Rb: 0.0866 0.3665 0.3526
Rb: 0.2536 0.6935 0.9925
Rb: 0.3065 0.0075 0.7464
Rb: 0.3526 0.0866 0.3665
Rb: 0.3665 0.3526 0.0866
Rb: 0.6335 0.6474 0.9134
Rb: 0.6474 0.9134 0.6335
Rb: 0.6935 0.9925 0.2536
Rb: 0.7464 0.3065 0.0075
Rb: 0.9134 0.6335 0.6474
Rb: 0.9925 0.2536 0.6935
Tl: 0.3347 0.6428 0.6315
Tl: 0.3572 0.3685 0.6653
Tl: 0.3685 0.6653 0.3572
Tl: 0.6315 0.3347 0.6428
Tl: 0.6428 0.6315 0.3347
Tl: 0.6653 0.3572 0.3685